For Pm2Y5Sn4, a DFT-relaxed cell (GGA-PBE, Alexandria) gives the simulated powder diffraction line list in this record (a wavelength of 1.5418 Å).
Lines closer than 0.1° are merged.

Structure:
Cell: 26.7260 3.5322 7.4151 Å, 90.00 90.70 90.00°
Space group C2/m (No. 12)
Symmetry-distinct sites (fractional):
Pm (0.2350, 0.0000, 0.2232) (multiplicity 4)
Y (0.0000, 0.5000, 0.0000) (multiplicity 2)
Y (0.0901, 0.0000, 0.2982) (multiplicity 4)
Y (0.1357, 0.0000, 0.8324) (multiplicity 4)
Sn (0.0288, 0.0000, 0.6663) (multiplicity 4)
Sn (0.1718, 0.5000, 0.5059) (multiplicity 4)

Most intense lines, 2θ = 15–90°, low angle first:
| hkl | 2θ (°) | I_rel |
| --- | --- | --- |
| 1 1 0 | 25.4 | 24.8 |
| 8 0 1 | 29.5 | 81.3 |
| 3 1 -1 | 29.7 | 100.0 |
| 6 0 -2 | 31.2 | 68.9 |
| 1 1 -2 | 35.3 | 54.9 |
| 7 1 -1 | 36.6 | 31.2 |
| 7 1 1 | 36.8 | 34.8 |
| 2 0 3 | 37.1 | 29.4 |
| 5 1 2 | 39.2 | 28.8 |
| 9 1 -1 | 41.4 | 27.4 |